[1]
Starting from DFT lattice parameters and positions (PBE), the XRD peak list of Ti5Be4Zn4 was computed for Cu Kα (weighted mean of Kα1 and Kα2).
No peak broadening, texture or thermal motion is included.

Structural model:
a b c (Å): 7.624 7.624 7.624
angles (deg): 92.52 92.52 155.80
Positions (direct):
Ti: 0.000 0.000 0.000
Ti: 0.302 0.636 0.938
Ti: 0.364 0.302 0.665
Ti: 0.636 0.698 0.335
Ti: 0.698 0.364 0.062
Be: 0.048 0.763 0.811
Be: 0.237 0.048 0.286
Be: 0.763 0.952 0.714
Be: 0.952 0.237 0.189
Zn: 0.109 0.408 0.517
Zn: 0.408 0.891 0.299
Zn: 0.592 0.109 0.701
Zn: 0.891 0.592 0.483

Most intense lines, 2θ = 10–80°, sorted by position:
2θ (°)  intensity
11.87  36.0
33.89  35.8
34.02  19.8
38.06  14.7
41.88  100.0
43.79  43.0
57.69  10.9
63.63  11.0
71.53  17.6
75.14  15.5

=====

[2]
Starting from DFT lattice parameters and positions (PBE), the XRD peak list of Ti12BeZn3 was computed for Cu Kα (weighted mean of Kα1 and Kα2).
No peak broadening, texture or thermal motion is included.

Structural model:
a b c (Å): 3.993 3.993 15.940
angles (deg): 90.00 90.00 90.00
Positions (direct):
Ti: 0.000 0.000 0.000
Ti: 0.000 0.000 0.247
Ti: 0.000 0.000 0.500
Ti: 0.000 0.000 0.753
Ti: 0.000 0.500 0.119
Ti: 0.000 0.500 0.373
Ti: 0.000 0.500 0.627
Ti: 0.000 0.500 0.881
Ti: 0.500 0.000 0.119
Ti: 0.500 0.000 0.373
Ti: 0.500 0.000 0.627
Ti: 0.500 0.000 0.881
Be: 0.500 0.500 0.000
Zn: 0.500 0.500 0.247
Zn: 0.500 0.500 0.500
Zn: 0.500 0.500 0.753

Most intense lines, 2θ = 10–80°, sorted by position:
2θ (°)  intensity
11.10  2.3
22.96  2.7
24.94  2.3
27.96  2.4
36.03  2.8
39.10  100.0
45.46  47.0
66.25  27.3
79.66  20.9
79.79  9.7

=====

[3]
Starting from DFT lattice parameters and positions (PBE), the XRD peak list of Be3Tl was computed for Cu Kα (weighted mean of Kα1 and Kα2).
No peak broadening, texture or thermal motion is included.

Structural model:
a b c (Å): 3.132 3.925 4.764
angles (deg): 90.00 103.17 90.00
Positions (direct):
Be: 0.000 0.000 0.000
Be: 0.287 0.500 0.170
Be: 0.713 0.500 0.830
Tl: 0.500 0.000 0.500

Most intense lines, 2θ = 10–80°, sorted by position:
2θ (°)  intensity
19.13  100.0
22.66  73.3
29.29  40.5
29.82  80.1
31.22  41.6
37.34  40.7
38.88  77.4
45.44  59.3
49.41  21.4
61.95  20.3

=====

[4]
Starting from DFT lattice parameters and positions (PBE), the XRD peak list of Be5Tl3 was computed for Cu Kα (weighted mean of Kα1 and Kα2).
No peak broadening, texture or thermal motion is included.

Structural model:
a b c (Å): 8.429 4.077 8.702
angles (deg): 90.00 108.76 90.00
Positions (direct):
Be: 0.007 0.250 0.442
Be: 0.119 0.250 0.713
Be: 0.208 0.750 0.762
Be: 0.232 0.003 0.972
Be: 0.232 0.497 0.972
Be: 0.768 0.503 0.028
Be: 0.768 0.997 0.028
Be: 0.792 0.250 0.238
Be: 0.881 0.750 0.287
Be: 0.993 0.750 0.558
Tl: 0.105 0.250 0.183
Tl: 0.314 0.750 0.488
Tl: 0.478 0.250 0.825
Tl: 0.522 0.750 0.175
Tl: 0.686 0.250 0.512
Tl: 0.895 0.750 0.817

Most intense lines, 2θ = 10–80°, sorted by position:
2θ (°)  intensity
21.39  55.3
28.27  100.0
30.34  75.4
31.36  19.5
32.60  34.9
33.72  19.9
36.02  20.2
40.49  19.8
48.78  17.1
54.32  17.2

=====

[5]
Starting from DFT lattice parameters and positions (PBE), the XRD peak list of Be5Tl was computed for Cu Kα (weighted mean of Kα1 and Kα2).
No peak broadening, texture or thermal motion is included.

Structural model:
a b c (Å): 4.015 4.015 6.234
angles (deg): 110.83 110.83 51.98
Positions (direct):
Be: 0.000 0.000 0.000
Be: 0.320 0.320 0.142
Be: 0.366 0.366 0.828
Be: 0.634 0.634 0.172
Be: 0.680 0.680 0.858
Tl: 0.000 0.000 0.500

Most intense lines, 2θ = 10–80°, sorted by position:
2θ (°)  intensity
15.48  100.0
25.17  41.2
26.90  35.3
28.73  57.3
30.07  55.5
31.25  24.1
32.24  25.4
35.32  36.9
38.61  32.9
48.66  19.0

=====

[6]
Starting from DFT lattice parameters and positions (PBE), the XRD peak list of Be2Tl3 was computed for Cu Kα (weighted mean of Kα1 and Kα2).
No peak broadening, texture or thermal motion is included.

Structural model:
a b c (Å): 11.574 6.281 12.975
angles (deg): 63.06 28.93 88.01
Positions (direct):
Be: 0.178 0.822 0.308
Be: 0.558 0.942 0.428
Be: 0.822 0.178 0.692
Be: 0.942 0.558 0.072
Tl: 0.006 0.732 0.778
Tl: 0.235 0.235 0.765
Tl: 0.472 0.765 0.244
Tl: 0.485 0.485 0.015
Tl: 0.732 0.006 0.485
Tl: 0.765 0.472 0.518

Most intense lines, 2θ = 10–80°, sorted by position:
2θ (°)  intensity
27.57  93.3
29.40  77.9
31.21  43.2
31.34  100.0
35.13  22.8
37.85  62.9
43.41  33.5
48.63  30.0
53.07  24.6
58.35  22.9

=====

[7]
Starting from DFT lattice parameters and positions (PBE), the XRD peak list of Be2TlZn was computed for Cu Kα (weighted mean of Kα1 and Kα2).
No peak broadening, texture or thermal motion is included.

Structural model:
a b c (Å): 5.290 3.951 3.951
angles (deg): 59.99 90.00 90.00
Positions (direct):
Be: 0.000 0.000 0.000
Be: 0.000 0.333 0.333
Tl: 0.500 0.334 0.334
Zn: 0.000 0.667 0.667

Most intense lines, 2θ = 10–80°, sorted by position:
2θ (°)  intensity
16.76  15.6
26.05  42.5
31.13  100.0
33.89  18.8
43.23  22.4
45.95  24.1
56.54  18.8
58.30  23.7
58.92  16.6
75.72  15.8

=====

[8]
Starting from DFT lattice parameters and positions (PBE), the XRD peak list of TmBe3 was computed for Cu Kα (weighted mean of Kα1 and Kα2).
No peak broadening, texture or thermal motion is included.

Structural model:
a b c (Å): 2.996 3.541 5.415
angles (deg): 90.00 90.00 90.00
Positions (direct):
Tm: 0.000 0.000 0.000
Be: 0.000 0.500 0.528
Be: 0.500 0.000 0.484
Be: 0.500 0.500 0.257

Most intense lines, 2θ = 10–80°, sorted by position:
2θ (°)  intensity
16.37  100.0
25.15  41.1
29.82  26.9
30.16  56.7
33.09  23.7
34.20  40.9
39.39  25.8
42.01  24.8
42.93  49.6
45.14  20.1

=====

[9]
Starting from DFT lattice parameters and positions (PBE), the XRD peak list of Tm4Be was computed for Cu Kα (weighted mean of Kα1 and Kα2).
No peak broadening, texture or thermal motion is included.

Structural model:
a b c (Å): 5.215 5.215 5.215
angles (deg): 90.00 90.00 90.00
Positions (direct):
Tm: 0.000 0.000 0.000
Tm: 0.000 0.500 0.500
Tm: 0.500 0.000 0.500
Tm: 0.500 0.500 0.000
Be: 0.500 0.500 0.500

Most intense lines, 2θ = 10–80°, sorted by position:
2θ (°)  intensity
29.67  100.0
34.39  52.9
49.43  38.3
58.72  44.3
61.61  13.2
72.50  6.1

=====

[10]
Starting from DFT lattice parameters and positions (PBE), the XRD peak list of TmBe was computed for Cu Kα (weighted mean of Kα1 and Kα2).
No peak broadening, texture or thermal motion is included.

Structural model:
a b c (Å): 3.513 3.999 5.839
angles (deg): 90.00 107.37 90.00
Positions (direct):
Tm: 0.146 0.250 0.292
Tm: 0.854 0.750 0.708
Be: 0.448 0.250 0.897
Be: 0.552 0.750 0.103

Most intense lines, 2θ = 10–80°, sorted by position:
2θ (°)  intensity
26.60  39.5
27.45  100.0
32.13  27.4
34.94  78.5
35.16  53.2
45.35  15.7
53.78  16.4
53.89  16.3
58.65  24.5
59.86  23.0

=====

[11]
Starting from DFT lattice parameters and positions (PBE), the XRD peak list of Tm3Be was computed for Cu Kα (weighted mean of Kα1 and Kα2).
No peak broadening, texture or thermal motion is included.

Structural model:
a b c (Å): 6.298 6.298 6.298
angles (deg): 147.49 132.41 58.82
Positions (direct):
Tm: 0.000 0.000 0.000
Tm: 0.294 0.794 0.500
Tm: 0.706 0.206 0.500
Be: 0.500 0.500 0.000

Most intense lines, 2θ = 10–80°, sorted by position:
2θ (°)  intensity
26.55  31.1
30.10  59.3
32.64  14.9
35.03  100.0
35.33  31.8
44.73  15.6
48.87  32.3
61.14  16.1
61.74  22.5
63.21  18.2

=====

[12]
Starting from DFT lattice parameters and positions (PBE), the XRD peak list of TmBe2Zn9 was computed for Cu Kα (weighted mean of Kα1 and Kα2).
No peak broadening, texture or thermal motion is included.

Structural model:
a b c (Å): 7.970 7.970 7.970
angles (deg): 99.75 99.75 131.40
Positions (direct):
Tm: 0.375 0.625 0.750
Tm: 0.625 0.375 0.250
Be: 0.000 0.000 0.000
Be: 0.000 0.000 0.500
Be: 0.000 0.500 0.000
Be: 0.500 0.000 0.500
Zn: 0.125 0.875 0.250
Zn: 0.134 0.562 0.328
Zn: 0.134 0.806 0.572
Zn: 0.194 0.266 0.328
Zn: 0.194 0.866 0.928
Zn: 0.266 0.194 0.828
Zn: 0.266 0.438 0.072
Zn: 0.438 0.266 0.572
Zn: 0.438 0.866 0.172
Zn: 0.562 0.134 0.828
Zn: 0.562 0.734 0.428
Zn: 0.734 0.562 0.928
Zn: 0.734 0.806 0.172
Zn: 0.806 0.134 0.072
Zn: 0.806 0.734 0.672
Zn: 0.866 0.194 0.428
Zn: 0.866 0.438 0.672
Zn: 0.875 0.125 0.750

Most intense lines, 2θ = 10–80°, sorted by position:
2θ (°)  intensity
24.51  21.7
29.42  25.1
34.31  18.1
38.66  17.7
39.03  100.0
39.22  67.1
42.26  21.4
46.31  25.8
59.30  15.1
70.95  26.2

=====

[13]
Starting from DFT lattice parameters and positions (PBE), the XRD peak list of TmZrBe2 was computed for Cu Kα (weighted mean of Kα1 and Kα2).
No peak broadening, texture or thermal motion is included.

Structural model:
a b c (Å): 4.598 4.598 4.598
angles (deg): 60.00 60.00 60.00
Positions (direct):
Tm: 0.000 0.000 0.000
Zr: 0.500 0.500 0.500
Be: 0.250 0.250 0.250
Be: 0.750 0.750 0.750

Most intense lines, 2θ = 10–80°, sorted by position:
2θ (°)  intensity
23.70  16.4
27.43  100.0
39.19  93.6
46.31  9.1
48.50  28.3
56.62  15.9
62.23  3.9
64.04  36.5
71.01  32.1
76.05  3.0

=====

[14]
Starting from DFT lattice parameters and positions (PBE), the XRD peak list of UBe4W was computed for Cu Kα (weighted mean of Kα1 and Kα2).
No peak broadening, texture or thermal motion is included.

Structural model:
a b c (Å): 4.734 4.734 4.734
angles (deg): 60.00 60.00 60.00
Positions (direct):
U: 0.000 0.000 0.000
Be: 0.375 0.375 0.375
Be: 0.375 0.375 0.874
Be: 0.375 0.874 0.375
Be: 0.874 0.375 0.375
W: 0.750 0.750 0.750

Most intense lines, 2θ = 10–80°, sorted by position:
2θ (°)  intensity
23.01  100.0
26.63  1.4
38.02  92.0
44.91  63.4
47.02  0.6
54.85  14.5
60.26  23.2
61.99  0.7
68.68  33.9
73.50  20.6